Entry 1:
Starting from a crystal structure in Alexandria, relaxed with GGA-PBE, the powder diffractogram of Ho2Zn5AgRh2 was simulated for Cu Kα, 1.54184 Å.
No peak broadening, texture or thermal motion is included.

Main lines, in order of rising 2θ (2θ from 5° to 70°):
(hkl), Position (°2θ), I_rel
0 0 1, 21.8, 16.8
2 1 1, 30.6, 15.2
2 2 1, 34.9, 27.9
3 1 1, 37.5, 100.0
4 1 0, 39.6, 39.9
3 3 0, 40.8, 15.8
3 2 1, 41.2, 36.6
0 0 2, 44.5, 42.5
4 1 2, 61.0, 21.9
3 3 2, 61.9, 13.7

Structural model:
```
data_Ho2Zn5AgRh2
_chemical_formula_sum 'Ho4 Zn10 Ag2 Rh4'
_symmetry_space_group_name_H-M 'P 4/m b m'
_symmetry_Int_Tables_number 127
_symmetry_space_group_name_Hall '-P 4 2ab'
_cell_length_a 9.3854
_cell_length_b 9.3854
_cell_length_c 4.0735
_cell_angle_alpha 90.00
_cell_angle_beta 90.00
_cell_angle_gamma 90.00
loop_
_atom_site_label
_atom_site_type_symbol
_atom_site_fract_x
_atom_site_fract_y
_atom_site_fract_z
Ho1 Ho 0.1777 0.3223 0.0000
Zn1 Zn 0.0000 0.5000 0.5000
Zn2 Zn 0.0591 0.7961 0.5000
Ag1 Ag 0.0000 0.0000 0.0000
Rh1 Rh 0.1197 0.6197 0.0000
```

Entry 2:
Starting from a crystal structure in Alexandria, relaxed with GGA-PBE, the powder diffractogram of Ho4Ag2Ru was simulated for Cu Kα, 1.54184 Å.
No peak broadening, texture or thermal motion is included.

Main lines, in order of rising 2θ (2θ from 5° to 70°):
(hkl), Position (°2θ), I_rel
0 2 1, 25.6, 13.0
2 2 1, 36.0, 100.0
0 4 0, 36.3, 24.7
0 0 2, 36.7, 24.0
4 0 0, 51.2, 8.9
0 4 2, 52.5, 16.9
4 4 0, 64.3, 8.9
4 0 2, 64.6, 8.8
2 6 1, 65.1, 17.6
2 2 3, 65.6, 17.1

Structural model:
```
data_Ho4Ag2Ru
_chemical_formula_sum 'Ho8 Ag4 Ru2'
_symmetry_space_group_name_H-M 'C m m m'
_symmetry_Int_Tables_number 65
_symmetry_space_group_name_Hall '-C 2 2'
_cell_length_a 7.1370
_cell_length_b 9.9098
_cell_length_c 4.9026
_cell_angle_alpha 90.00
_cell_angle_beta 90.00
_cell_angle_gamma 90.00
loop_
_atom_site_label
_atom_site_type_symbol
_atom_site_fract_x
_atom_site_fract_y
_atom_site_fract_z
Ho1 Ho 0.2389 0.0000 0.0000
Ho2 Ho 0.2500 0.2500 0.5000
Ag1 Ag 0.0000 0.2525 0.0000
Ru1 Ru 0.0000 0.0000 0.5000
```

Entry 3:
Starting from a crystal structure in Alexandria, relaxed with GGA-PBE, the powder diffractogram of Ho8AgRu2 was simulated for Cu Kα, 1.54184 Å.
No peak broadening, texture or thermal motion is included.

Main lines, in order of rising 2θ (2θ from 5° to 70°):
(hkl), Position (°2θ), I_rel
2 0 1, 30.3, 56.0
1 3 1, 30.5, 23.2
0 4 1, 32.7, 74.4
3 1 -1, 33.0, 100.0
2 4 0, 35.6, 49.1
0 2 2, 36.3, 19.9
3 3 0, 38.8, 35.5
1 5 -1, 39.5, 25.5
2 4 2, 53.5, 25.7
2 8 1, 66.9, 19.8

Structural model:
```
data_Ho8AgRu2
_chemical_formula_sum 'Ho16 Ag2 Ru4'
_symmetry_space_group_name_H-M 'C 1 m 1'
_symmetry_Int_Tables_number 8
_symmetry_space_group_name_Hall 'C -2y'
_cell_length_a 8.6096
_cell_length_b 12.7068
_cell_length_c 5.5689
_cell_angle_alpha 90.00
_cell_angle_beta 104.90
_cell_angle_gamma 90.00
loop_
_atom_site_label
_atom_site_type_symbol
_atom_site_fract_x
_atom_site_fract_y
_atom_site_fract_z
Ho1 Ho 0.0000 0.0000 0.0000
Ho2 Ho 0.0800 0.3687 0.7863
Ho3 Ho 0.1807 0.1312 0.6077
Ho4 Ho 0.2592 0.5000 0.3929
Ho5 Ho 0.3805 0.2406 0.1968
Ag1 Ag 0.3794 0.0000 0.2013
Ru1 Ru 0.3801 0.3110 0.6964
```

Entry 4:
Starting from a crystal structure in Alexandria, relaxed with GGA-PBE, the powder diffractogram of Ho2Tm5AgRu2 was simulated for Cu Kα, 1.54184 Å.
No peak broadening, texture or thermal motion is included.

Main lines, in order of rising 2θ (2θ from 5° to 70°):
(hkl), Position (°2θ), I_rel
2 1 1, 29.2, 15.9
4 1 0, 32.0, 61.2
2 2 1, 32.2, 34.6
3 3 0, 33.0, 25.4
3 1 1, 34.1, 100.0
4 2 0, 34.8, 17.2
3 2 1, 36.7, 47.2
4 0 1, 39.2, 15.6
0 0 2, 47.9, 22.3
4 1 2, 58.8, 22.0

Structural model:
```
data_Ho2Tm5AgRu2
_chemical_formula_sum 'Ho4 Tm10 Ag2 Ru4'
_symmetry_space_group_name_H-M 'P 4/m b m'
_symmetry_Int_Tables_number 127
_symmetry_space_group_name_Hall '-P 4 2ab'
_cell_length_a 11.5234
_cell_length_b 11.5234
_cell_length_c 3.8007
_cell_angle_alpha 90.00
_cell_angle_beta 90.00
_cell_angle_gamma 90.00
loop_
_atom_site_label
_atom_site_type_symbol
_atom_site_fract_x
_atom_site_fract_y
_atom_site_fract_z
Ho1 Ho 0.1863 0.3137 0.0000
Tm1 Tm 0.0000 0.5000 0.5000
Tm2 Tm 0.0601 0.7904 0.5000
Ag1 Ag 0.0000 0.0000 0.0000
Ru1 Ru 0.1318 0.6318 0.0000
```

Entry 5:
Starting from a crystal structure in Alexandria, relaxed with GGA-PBE, the powder diffractogram of HoAgS2 was simulated for Cu Kα, 1.54184 Å.
No peak broadening, texture or thermal motion is included.

Main lines, in order of rising 2θ (2θ from 5° to 70°):
(hkl), Position (°2θ), I_rel
1 1 1, 17.9, 21.8
0 1 2, 18.3, 14.7
2 0 -2, 27.4, 91.4
0 0 4, 28.3, 26.2
2 2 0, 33.3, 100.0
1 1 5, 39.5, 42.0
2 2 -4, 44.3, 29.4
4 0 0, 47.8, 33.1
3 1 5, 52.6, 35.7
4 2 -2, 55.9, 27.2

Structural model:
```
data_HoAgS2
_chemical_formula_sum 'Ho8 Ag8 S16'
_symmetry_space_group_name_H-M 'P 1 21 1'
_symmetry_Int_Tables_number 4
_symmetry_space_group_name_Hall 'P 2yb'
_cell_length_a 7.6138
_cell_length_b 7.6130
_cell_length_c 12.6046
_cell_angle_alpha 90.00
_cell_angle_beta 90.00
_cell_angle_gamma 90.00
loop_
_atom_site_label
_atom_site_type_symbol
_atom_site_fract_x
_atom_site_fract_y
_atom_site_fract_z
Ho1 Ho 0.9995 0.0000 0.2469
Ho2 Ho 0.2486 0.2491 0.5032
Ho3 Ho 0.2514 0.7479 0.0032
Ho4 Ho 0.4996 0.4971 0.2532
Ag1 Ag 0.0134 0.5180 0.3179
Ag2 Ag 0.2316 0.2600 0.0677
Ag3 Ag 0.2697 0.7356 0.5679
Ag4 Ag 0.4869 0.4790 0.8175
S1 S 0.0194 0.0179 0.0288
S2 S 0.0242 0.5234 0.5349
S3 S 0.2255 0.2724 0.2850
S4 S 0.2302 0.2289 0.7213
S5 S 0.2697 0.7679 0.2213
S6 S 0.2745 0.7245 0.7850
S7 S 0.4758 0.4736 0.0349
S8 S 0.4805 0.9790 0.5287
```

Entry 6:
Starting from a crystal structure in Alexandria, relaxed with GGA-PBE, the powder diffractogram of Sr4Ho3AgS8 was simulated for Cu Kα, 1.54184 Å.
No peak broadening, texture or thermal motion is included.

Main lines, in order of rising 2θ (2θ from 5° to 70°):
(hkl), Position (°2θ), I_rel
0 0 3, 13.2, 15.1
0 0 6, 26.6, 15.7
2 0 2, 26.8, 45.1
0 2 4, 31.0, 100.0
2 0 8, 44.3, 35.5
2 2 0, 44.5, 35.8
0 2 10, 52.4, 8.2
2 2 6, 52.6, 15.5
4 0 4, 55.2, 18.5
0 4 8, 64.6, 11.2

Structural model:
```
data_Sr4Ho3AgS8
_chemical_formula_sum 'Sr12 Ho9 Ag3 S24'
_symmetry_space_group_name_H-M 'R -3 m'
_symmetry_Int_Tables_number 166
_symmetry_space_group_name_Hall '-R 3 2"'
_cell_length_a 8.1384
_cell_length_b 8.1384
_cell_length_c 20.0965
_cell_angle_alpha 90.00
_cell_angle_beta 90.00
_cell_angle_gamma 120.00
loop_
_atom_site_label
_atom_site_type_symbol
_atom_site_fract_x
_atom_site_fract_y
_atom_site_fract_z
Sr1 Sr 0.0000 0.0000 0.0000
Sr2 Sr 0.0000 0.5000 0.0000
Ho1 Ho 0.0000 0.5000 0.5000
Ag1 Ag 0.0000 0.0000 0.5000
S1 S 0.0000 0.0000 0.2423
S2 S 0.0082 0.5041 0.7573
```

Entry 7:
Starting from a crystal structure in Alexandria, relaxed with GGA-PBE, the powder diffractogram of Ho2UAgS6 was simulated for Cu Kα, 1.54184 Å.
No peak broadening, texture or thermal motion is included.

Main lines, in order of rising 2θ (2θ from 5° to 70°):
(hkl), Position (°2θ), I_rel
0 0 1, 13.3, 16.2
1 1 1, 24.1, 100.0
0 0 2, 26.8, 9.4
2 0 0, 28.5, 33.2
1 1 2, 33.7, 14.7
2 0 2, 39.5, 34.6
2 2 0, 40.7, 27.5
1 1 3, 45.8, 12.5
3 1 1, 47.9, 32.6
4 0 0, 59.0, 10.4

Structural model:
```
data_Ho2UAgS6
_chemical_formula_sum 'Ho2 U1 Ag1 S6'
_symmetry_space_group_name_H-M 'P 4 m m'
_symmetry_Int_Tables_number 99
_symmetry_space_group_name_Hall 'P 4 -2'
_cell_length_a 6.2651
_cell_length_b 6.2651
_cell_length_c 6.6537
_cell_angle_alpha 90.00
_cell_angle_beta 90.00
_cell_angle_gamma 90.00
loop_
_atom_site_label
_atom_site_type_symbol
_atom_site_fract_x
_atom_site_fract_y
_atom_site_fract_z
Ho1 Ho 0.0000 0.5000 0.0000
U1 U 0.0000 0.0000 0.6021
Ag1 Ag 0.5000 0.5000 0.5176
S1 S 0.0000 0.0000 0.2028
S2 S 0.2566 0.2566 0.7667
S3 S 0.5000 0.5000 0.1592
```

Entry 8:
Starting from a crystal structure in Alexandria, relaxed with GGA-PBE, the powder diffractogram of Y4HoAgS8 was simulated for Cu Kα, 1.54184 Å.
No peak broadening, texture or thermal motion is included.

Main lines, in order of rising 2θ (2θ from 5° to 70°):
(hkl), Position (°2θ), I_rel
1 0 1, 13.5, 16.8
1 1 0, 22.1, 28.1
0 1 5, 26.0, 100.0
0 2 4, 31.5, 28.5
0 1 8, 38.9, 12.6
1 2 5, 41.3, 45.3
2 2 0, 45.2, 65.7
3 1 5, 52.9, 9.6
4 1 3, 62.9, 19.6
0 4 8, 65.8, 9.9

Structural model:
```
data_Y4HoAgS8
_chemical_formula_sum 'Y12 Ho3 Ag3 S24'
_symmetry_space_group_name_H-M 'R 3 m'
_symmetry_Int_Tables_number 160
_symmetry_space_group_name_Hall 'R 3 -2"'
_cell_length_a 8.0346
_cell_length_b 8.0346
_cell_length_c 19.6371
_cell_angle_alpha 90.00
_cell_angle_beta 90.00
_cell_angle_gamma 120.00
loop_
_atom_site_label
_atom_site_type_symbol
_atom_site_fract_x
_atom_site_fract_y
_atom_site_fract_z
Y1 Y 0.0000 0.0000 0.0000
Y2 Y 0.0114 0.5057 0.1261
Ho1 Ho 0.0000 0.0000 0.6203
Ag1 Ag 0.0000 0.0000 0.2495
S1 S 0.0000 0.0000 0.3822
S2 S 0.0000 0.0000 0.8663
S3 S 0.0237 0.5119 0.3771
S4 S 0.1772 0.3545 0.2060
```

Entry 9:
Starting from a crystal structure in Alexandria, relaxed with GGA-PBE, the powder diffractogram of Ho3Ag4SbSe8 was simulated for Cu Kα, 1.54184 Å.
No peak broadening, texture or thermal motion is included.

Main lines, in order of rising 2θ (2θ from 5° to 70°):
(hkl), Position (°2θ), I_rel
2 2 0, 26.4, 9.1
4 0 -2, 27.5, 2.8
4 0 0, 30.9, 100.0
2 2 2, 43.5, 38.4
6 2 -2, 44.9, 35.0
4 4 -2, 52.3, 2.8
4 4 0, 54.3, 19.8
8 0 -4, 56.7, 5.8
4 4 -4, 64.3, 7.8
8 0 0, 64.4, 3.9

Structural model:
```
data_Ho3Ag4SbSe8
_chemical_formula_sum 'Ho6 Ag8 Sb2 Se16'
_symmetry_space_group_name_H-M 'C 1 2/m 1'
_symmetry_Int_Tables_number 12
_symmetry_space_group_name_Hall '-C 2y'
_cell_length_a 13.8357
_cell_length_b 8.3140
_cell_length_c 8.0810
_cell_angle_alpha 90.00
_cell_angle_beta 123.27
_cell_angle_gamma 90.00
loop_
_atom_site_label
_atom_site_type_symbol
_atom_site_fract_x
_atom_site_fract_y
_atom_site_fract_z
Ho1 Ho 0.0000 0.0000 0.0000
Ho2 Ho 0.2500 0.2500 0.5000
Ag1 Ag 0.0000 0.0000 0.5000
Ag2 Ag 0.0000 0.5000 0.5000
Ag3 Ag 0.2500 0.2500 0.0000
Sb1 Sb 0.0000 0.5000 0.0000
Se1 Se 0.0010 0.2493 0.2490
Se2 Se 0.2476 0.0000 0.2530
Se3 Se 0.2503 0.0000 0.7477
```

Entry 10:
Starting from a crystal structure in Alexandria, relaxed with GGA-PBE, the powder diffractogram of HoSc2Ag2 was simulated for Cu Kα, 1.54184 Å.
No peak broadening, texture or thermal motion is included.

Main lines, in order of rising 2θ (2θ from 5° to 70°):
(hkl), Position (°2θ), I_rel
0 0 2, 13.8, 19.0
1 1 0, 31.5, 10.8
0 0 5, 34.9, 23.8
0 2 0, 35.6, 27.1
1 1 2, 35.9, 100.0
0 2 5, 50.7, 15.8
2 0 -1, 52.7, 8.3
1 1 7, 63.2, 12.7
1 3 2, 64.2, 17.2
2 2 -1, 65.3, 9.0

Structural model:
```
data_HoSc2Ag2
_chemical_formula_sum 'Ho2 Sc4 Ag4'
_symmetry_space_group_name_H-M 'P 1 21/m 1'
_symmetry_Int_Tables_number 11
_symmetry_space_group_name_Hall '-P 2yb'
_cell_length_a 3.4709
_cell_length_b 5.0410
_cell_length_c 12.9878
_cell_angle_alpha 90.00
_cell_angle_beta 97.67
_cell_angle_gamma 90.00
loop_
_atom_site_label
_atom_site_type_symbol
_atom_site_fract_x
_atom_site_fract_y
_atom_site_fract_z
Ho1 Ho 0.1464 0.2500 0.2922
Sc1 Sc 0.0474 0.7500 0.0949
Sc2 Sc 0.2359 0.7500 0.4716
Ag1 Ag 0.3567 0.2500 0.7139
Ag2 Ag 0.4564 0.7500 0.9124
```

Entry 11:
Starting from a crystal structure in Alexandria, relaxed with GGA-PBE, the powder diffractogram of HoScAg4 was simulated for Cu Kα, 1.54184 Å.
No peak broadening, texture or thermal motion is included.

Main lines, in order of rising 2θ (2θ from 5° to 70°):
(hkl), Position (°2θ), I_rel
0 0 1, 13.0, 6.3
2 0 -1, 19.0, 4.7
1 1 -1, 27.8, 5.6
1 1 -2, 34.7, 66.8
3 1 0, 38.6, 100.0
2 0 -4, 49.9, 11.2
0 2 0, 50.0, 11.6
6 0 0, 61.1, 6.2
1 1 4, 64.7, 9.9
2 2 2, 64.9, 30.1

Structural model:
```
data_HoScAg4
_chemical_formula_sum 'Ho2 Sc2 Ag8'
_symmetry_space_group_name_H-M 'C 1 2/m 1'
_symmetry_Int_Tables_number 12
_symmetry_space_group_name_Hall '-C 2y'
_cell_length_a 9.7987
_cell_length_b 3.6471
_cell_length_c 7.3163
_cell_angle_alpha 90.00
_cell_angle_beta 111.78
_cell_angle_gamma 90.00
loop_
_atom_site_label
_atom_site_type_symbol
_atom_site_fract_x
_atom_site_fract_y
_atom_site_fract_z
Ho1 Ho 0.0000 0.0000 0.0000
Sc1 Sc 0.0000 0.0000 0.5000
Ag1 Ag 0.1671 0.5000 0.3431
Ag2 Ag 0.1669 0.5000 0.8222
```

Entry 12:
Starting from a crystal structure in Alexandria, relaxed with GGA-PBE, the powder diffractogram of HoScTcAg was simulated for Cu Kα, 1.54184 Å.
No peak broadening, texture or thermal motion is included.

Main lines, in order of rising 2θ (2θ from 5° to 70°):
(hkl), Position (°2θ), I_rel
1 1 1, 22.6, 18.6
2 2 0, 37.3, 100.0
3 1 1, 44.0, 10.2
4 0 0, 53.8, 16.9
3 3 1, 59.1, 4.4
4 2 2, 67.3, 33.8

Structural model:
```
data_HoScTcAg
_chemical_formula_sum 'Ho4 Sc4 Tc4 Ag4'
_symmetry_space_group_name_H-M 'F -4 3 m'
_symmetry_Int_Tables_number 216
_symmetry_space_group_name_Hall 'F -4 2 3'
_cell_length_a 6.8183
_cell_length_b 6.8183
_cell_length_c 6.8183
_cell_angle_alpha 90.00
_cell_angle_beta 90.00
_cell_angle_gamma 90.00
loop_
_atom_site_label
_atom_site_type_symbol
_atom_site_fract_x
_atom_site_fract_y
_atom_site_fract_z
Ho1 Ho 0.0000 0.0000 0.0000
Sc1 Sc 0.0000 0.0000 0.5000
Tc1 Tc 0.2500 0.2500 0.7500
Ag1 Ag 0.2500 0.2500 0.2500
```

Entry 13:
Starting from a crystal structure in Alexandria, relaxed with GGA-PBE, the powder diffractogram of Sr2HoAg2Se4 was simulated for Cu Kα, 1.54184 Å.
No peak broadening, texture or thermal motion is included.

Main lines, in order of rising 2θ (2θ from 5° to 70°):
(hkl), Position (°2θ), I_rel
0 0 1, 12.5, 41.7
3 1 -1, 27.9, 45.8
1 1 -2, 32.0, 20.3
3 1 -2, 32.5, 100.0
3 1 1, 34.6, 54.1
6 0 0, 37.5, 23.7
3 1 2, 43.9, 19.4
0 2 0, 44.4, 28.4
7 1 -2, 45.9, 23.6
7 1 2, 65.8, 17.4

Structural model:
```
data_Sr2HoAg2Se4
_chemical_formula_sum 'Sr4 Ho2 Ag4 Se8'
_symmetry_space_group_name_H-M 'C 1 2/m 1'
_symmetry_Int_Tables_number 12
_symmetry_space_group_name_Hall '-C 2y'
_cell_length_a 16.0118
_cell_length_b 4.0833
_cell_length_c 7.8636
_cell_angle_alpha 90.00
_cell_angle_beta 115.89
_cell_angle_gamma 90.00
loop_
_atom_site_label
_atom_site_type_symbol
_atom_site_fract_x
_atom_site_fract_y
_atom_site_fract_z
Sr1 Sr 0.1376 0.0000 0.0855
Ho1 Ho 0.0000 0.0000 0.5000
Ag1 Ag 0.1870 0.5000 0.5054
Se1 Se 0.0104 0.5000 0.2407
Se2 Se 0.1946 0.0000 0.7522
```